This entry pairs a crystal structure of CsUI2O8 with its simulated X-ray powder pattern. Radiation: Cu Kα X-rays. Structure: a DFT-relaxed cell (GGA-PBE, Alexandria).
Peak positions follow from Bragg's law for the DFT cell and can differ from measured ones.

Most intense lines, 2θ = 15–90°, in order of rising 2θ:
d (Å)	2theta	I (rel.)	index
5.624	15.8	49	1 0 0
4.649	19.1	66	1 0 1
3.330	26.8	100	1 0 2
3.247	27.5	87	1 1 0
2.325	38.7	37	0 2 2
1.939	46.8	24	0 1 4
1.890	48.1	43	2 1 2
1.875	48.6	18	3 0 0
1.482	62.7	22	1 2 4
1.459	63.8	18	1 3 2

Atomic structure:
```
data_CsUI2O8
_space_group_name_H-M_alt 'P -3 m 1'
_space_group_IT_number 164
_space_group_name_Hall '-P 3 2"'
_cell_length_a 6.4940
_cell_length_b 6.4940
_cell_length_c 8.2641
_cell_angle_alpha 90.00
_cell_angle_beta 90.00
_cell_angle_gamma 120.00
loop_
_atom_site_label
_atom_site_type_symbol
_atom_site_fract_x
_atom_site_fract_y
_atom_site_fract_z
Cs1 Cs 0.0000 0.0000 0.0000
U1 U 0.0000 0.0000 0.5000
I1 I 0.3333 0.6667 0.3342
O1 O 0.1551 0.3101 0.3467
O2 O 0.3333 0.6667 0.1184
```

=====

This entry pairs a crystal structure of PaCuPdO6 with its simulated X-ray powder pattern. Radiation: Cu Kα X-rays. Structure: a DFT-relaxed cell (GGA-PBE, Alexandria).
Peak positions follow from Bragg's law for the DFT cell and can differ from measured ones.

Most intense lines, 2θ = 15–90°, in order of rising 2θ:
d (Å)	2theta	I (rel.)	index
4.311	20.6	37	1 0 1
3.417	26.1	100	1 1 0
2.656	33.7	81	1 0 3
2.416	37.2	25	2 0 0
1.787	51.1	66	2 1 3
1.709	53.6	16	2 2 0
1.528	60.6	16	3 1 0
1.441	64.7	15	1 1 6
1.437	64.9	20	3 0 3
1.235	77.3	14	3 2 3

Atomic structure:
```
data_PaCuPdO6
_space_group_name_H-M_alt 'P 42 n m'
_space_group_IT_number 102
_cell_length_a 4.832
_cell_length_b 4.832
_cell_length_c 9.537
_cell_angle_alpha 90.00
_cell_angle_beta 90.00
_cell_angle_gamma 90.00
loop_
_space_group_symop_operation_xyz
'x,y,z'
'-y+1/2,x+1/2,z+1/2'
'-x,-y,z'
'y+1/2,-x+1/2,z+1/2'
'-x+1/2,y+1/2,z+1/2'
'y,x,z'
'x+1/2,-y+1/2,z+1/2'
'-y,-x,z'
loop_
_atom_site_label
_atom_site_type_symbol
_atom_site_fract_x
_atom_site_fract_y
_atom_site_fract_z
Pa1 Pa 0.000 0.000 0.000
Cu1 Cu 0.000 0.000 0.669
Pd1 Pd 0.000 0.000 0.331
O1 O 0.180 0.180 0.502
O2 O 0.200 0.200 0.173
O3 O 0.202 0.202 0.828
```